For Cr6BC3, a PBE-relaxed structure gives the theoretical XRD peak list in this record (Cu Kα X-rays).
Neutral-atom scattering factors, no anomalous dispersion.

Largest 10 diffraction maxima, in order of falling intensity, 2θ = 10–90°:
2θ = 43.8°, d 2.067, I = 100; 2θ = 42.2°, d 2.140, I = 66; 2θ = 45.4°, d 1.998, I = 52; 2θ = 35.5°, d 2.531, I = 50; 2θ = 43.4°, d 2.087, I = 43; 2θ = 39.1°, d 2.303, I = 43; 2θ = 51.1°, d 1.788, I = 38; 2θ = 82.3°, d 1.172, I = 26; 2θ = 65.6°, d 1.423, I = 19; 2θ = 51.9°, d 1.762, I = 17

a = 6.938 Å, b = 2.845 Å, c = 9.211 Å
α = 90.00°, β = 90.00°, γ = 90.00°
Space group Amm2 (No. 38)
Asymmetric unit:
Cr (0.000, 0.000, 0.000) [2 per cell]
Cr (0.184, 0.000, 0.279) [4 per cell]
Cr (0.315, 0.000, 0.562) [4 per cell]
Cr (0.500, 0.000, 0.813) [2 per cell]
B (0.000, 0.000, 0.661) [2 per cell]
C (0.258, 0.000, 0.919) [4 per cell]
C (0.500, 0.000, 0.170) [2 per cell]